Entry 1:
For HoEr7Hg4, a crystal structure in Alexandria, relaxed with GGA-PBE gives the calculated X-ray diffraction stick pattern in this record (λ = 1.5418 Å (Cu Kα)).
Neutral-atom scattering factors, no anomalous dispersion.

Principal peaks in the range 2θ from 10° to 90°, sorted by position:
index  2θ/deg  I_rel
4 0 0  29.14  24
4 0 -3  30.11  49
1 1 2  30.87  44
0 2 0  31.73  100
3 1 -3  32.31  31
0 0 3  32.86  24
3 1 1  33.30  35
5 1 -1  35.88  75
5 1 -3  37.40  29
4 2 -3  44.31  35

Unit cell a=14.483 b=5.641 c=9.662 alpha=90.00 beta=122.18 gamma=90.00
Space group C2/m (No. 12)
Symmetry-distinct sites (fractional):
Ho  0.000  0.000  0.000 (multiplicity 2)
Er  0.000  0.500  0.000 (multiplicity 2)
Er  0.067  0.000  0.406 (multiplicity 4)
Er  0.208  0.000  0.885 (multiplicity 4)
Er  0.234  0.500  0.686 (multiplicity 4)
Hg  0.047  0.500  0.725 (multiplicity 4)
Hg  0.189  0.500  0.339 (multiplicity 4)

=====

Entry 2:
For SmNpTeSe2, a crystal structure in Alexandria, relaxed with GGA-PBE gives the calculated X-ray diffraction stick pattern in this record (λ = 1.5418 Å (Cu Kα)).
Neutral-atom scattering factors, no anomalous dispersion.

Principal peaks in the range 2θ from 10° to 90°, sorted by position:
index  2θ/deg  I_rel
1 0 1  20.38  24
1 0 3  27.26  100
1 1 0  27.52  33
1 1 2  30.39  33
1 0 5  37.63  31
1 1 4  37.82  41
2 0 0  39.31  48
2 1 3  48.50  42
2 1 5  55.55  21
2 0 8  67.30  19

Unit cell a=4.584 b=4.584 c=14.006 alpha=90.00 beta=90.00 gamma=90.00
Space group I4mm (No. 107)
Symmetry-distinct sites (fractional):
Sm  0.000  0.000  0.000 (multiplicity 2)
Np  0.000  0.000  0.259 (multiplicity 2)
Te  0.000  0.000  0.632 (multiplicity 2)
Se  0.000  0.500  0.378 (multiplicity 4)

=====

Entry 3:
For Rb2P2HS6, a crystal structure in Alexandria, relaxed with GGA-PBE gives the calculated X-ray diffraction stick pattern in this record (λ = 1.5418 Å (Cu Kα)).
Neutral-atom scattering factors, no anomalous dispersion.

Principal peaks in the range 2θ from 10° to 90°, sorted by position:
index  2θ/deg  I_rel
0 0 6  22.43  100
0 1 5  23.62  22
1 1 0  25.00  36
2 0 2  29.93  88
0 2 4  32.71  69
1 1 6  33.84  28
2 0 8  42.22  27
0 2 10  48.33  18
2 2 0  51.31  28
2 2 6  56.67  41

Unit cell a=7.1226 b=7.1226 c=23.7820 alpha=90.00 beta=90.00 gamma=120.00
Space group R-3m (No. 166, hexagonal axes)
Symmetry-distinct sites (fractional):
Rb  0.0000  0.0000  0.2393 (multiplicity 6)
P  0.0000  0.0000  0.4188 (multiplicity 6)
H  0.0000  0.0000  0.0000 (multiplicity 3)
S  0.0157  0.5078  0.2497 (multiplicity 18)

=====

Entry 4:
For Pr5Y, a crystal structure in Alexandria, relaxed with GGA-PBE gives the calculated X-ray diffraction stick pattern in this record (λ = 1.5418 Å (Cu Kα)).
Neutral-atom scattering factors, no anomalous dispersion.

Principal peaks in the range 2θ from 10° to 90°, sorted by position:
index  2θ/deg  I_rel
0 0 1  12.63  1
1 1 0  18.78  1
3 1 0  29.62  100
2 0 2  34.33  51
6 0 0  49.34  36
5 1 2  58.61  43
6 2 0  61.49  12
4 0 4  72.36  6
9 1 0  80.07  17
8 0 2  82.60  16

Unit cell a=11.685 b=5.223 c=7.386 alpha=90.00 beta=108.44 gamma=90.00
Space group C2/m (No. 12)
Symmetry-distinct sites (fractional):
Pr  0.000  0.000  0.000 (multiplicity 2)
Pr  0.166  0.500  0.832 (multiplicity 4)
Pr  0.167  0.500  0.335 (multiplicity 4)
Y  0.000  0.000  0.500 (multiplicity 2)